[1]
This entry pairs a crystal structure of NaSb5O8 with its theoretical X-ray powder pattern. Radiation: Cu Kα (weighted mean of Kα1 and Kα2). Structure: the GGA-PBE geometry in the Materials Project.
Intensities are scaled so that the largest is 100.

Peak list (12 most intense, 2θ from 15° to 90°, by angle)
d/Å  Position (°2θ)  Rel. int.
5.085  17.44  62
4.567  19.43  22
3.286  27.14  50
3.258  27.37  71
3.220  27.71  18
3.196  27.92  29
3.168  28.17  22
3.112  28.69  57
3.041  29.37  100
2.745  32.62  31
2.703  33.14  27
1.969  46.10  29

Atomic structure:
a b c (Å): 7.3757 7.5365 9.8389
angles (deg): 74.64 73.93 86.36
Atoms (fractional coordinates):
Na (0.2441, 0.4390, 0.4673)
Na (0.7559, 0.5610, 0.5327)
Sb (0.0374, 0.4012, 0.1656)
Sb (0.0366, 0.8211, 0.2225)
Sb (0.2430, 0.9451, 0.4698)
Sb (0.3980, 0.2381, 0.8290)
Sb (0.4782, 0.6887, 0.8387)
Sb (0.5218, 0.3113, 0.1613)
Sb (0.6020, 0.7619, 0.1710)
Sb (0.7570, 0.0549, 0.5302)
Sb (0.9634, 0.1789, 0.7775)
Sb (0.9626, 0.5988, 0.8344)
O (0.0061, 0.8977, 0.4161)
O (0.0400, 0.5545, 0.3179)
O (0.0486, 0.3580, 0.9418)
O (0.2528, 0.1842, 0.7019)
O (0.3092, 0.1969, 0.3389)
O (0.3223, 0.4575, 0.0740)
O (0.3541, 0.8109, 0.3043)
O (0.4391, 0.5099, 0.7305)
O (0.5609, 0.4901, 0.2695)
O (0.6459, 0.1891, 0.6957)
O (0.6777, 0.5425, 0.9260)
O (0.6908, 0.8031, 0.6611)
O (0.7472, 0.8158, 0.2981)
O (0.9514, 0.6420, 0.0582)
O (0.9600, 0.4455, 0.6821)
O (0.9939, 0.1023, 0.5839)

---

[2]
This entry pairs a crystal structure of NaSbO2 with its theoretical X-ray powder pattern. Radiation: Cu Kα (weighted mean of Kα1 and Kα2). Structure: the GGA-PBE geometry in the Materials Project.
Intensities are scaled so that the largest is 100.

Peak list (12 most intense, 2θ from 15° to 90°, by angle)
d/Å  Position (°2θ)  Rel. int.
5.248  16.89  41
4.154  21.39  23
3.800  23.41  100
3.541  25.15  30
2.978  30.00  66
2.884  31.01  37
2.770  32.32  15
2.754  32.51  31
2.175  41.51  23
1.998  45.40  28
1.983  45.75  24
1.609  57.24  22

Atomic structure:
a b c (Å): 5.5082 16.6171 6.7697
angles (deg): 90.00 90.00 90.00
Atoms (fractional coordinates):
Na (0.2392, 0.2040, 0.0929)
Na (0.2392, 0.2960, 0.5929)
Na (0.2608, 0.7040, 0.0929)
Na (0.2608, 0.7960, 0.5929)
Na (0.7392, 0.2040, 0.4071)
Na (0.7392, 0.2960, 0.9071)
Na (0.7608, 0.7040, 0.4071)
Na (0.7608, 0.7960, 0.9071)
Sb (0.2491, 0.0832, 0.5833)
Sb (0.2491, 0.4168, 0.0832)
Sb (0.2509, 0.5832, 0.5833)
Sb (0.2509, 0.9168, 0.0832)
Sb (0.7491, 0.0832, 0.9168)
Sb (0.7491, 0.4168, 0.4168)
Sb (0.7509, 0.5832, 0.9168)
Sb (0.7509, 0.9168, 0.4168)
O (0.0777, 0.6246, 0.8278)
O (0.0777, 0.8754, 0.3278)
O (0.1813, 0.6740, 0.4196)
O (0.1813, 0.8260, 0.9196)
O (0.3187, 0.1740, 0.4196)
O (0.3187, 0.3260, 0.9196)
O (0.4223, 0.1246, 0.8278)
O (0.4223, 0.3754, 0.3278)
O (0.5777, 0.6246, 0.6722)
O (0.5777, 0.8754, 0.1722)
O (0.6813, 0.6740, 0.0804)
O (0.6813, 0.8260, 0.5804)
O (0.8187, 0.1740, 0.0804)
O (0.8187, 0.3260, 0.5804)
O (0.9223, 0.1246, 0.6722)
O (0.9223, 0.3754, 0.1722)